This entry pairs a crystal structure of NdTlZn with its theoretical X-ray diffraction stick pattern. Radiation: Cu Kα (weighted mean of Kα1 and Kα2). Structure: a GGA-PBE-relaxed structure.
No peak broadening, texture or thermal motion is included.

Atomic structure:
Unit cell a=4.7896 b=4.7896 c=7.6501 alpha=90.00 beta=90.00 gamma=120.00
Space group P6_3/mmc (No. 194)
Symmetry-distinct sites (fractional):
Nd: 0.0000 0.0000 0.0000 [2 per cell]
Tl: 0.3333 0.6667 0.2500 [2 per cell]
Zn: 0.3333 0.6667 0.7500 [2 per cell]

Largest 8 diffraction maxima, in order of rising 2θ, 2θ from 10° to 90°:
(hkl)  2theta  I/Imax
1 0 1  24.4  30
1 0 2  31.8  100
1 1 0  37.6  71
2 0 2  50.0  28
1 1 4  62.1  32
2 1 2  64.2  27
3 0 0  67.8  12
3 0 4  86.9  13